Theoretical powder diffractogram of Tl2Cd12Hg5 for copper Kα, from a cell relaxed with PBE.
Lines closer than 0.1° are merged.

Crystal structure
```
19
Lattice="5.315 3.068 4.913 -5.315 3.068 4.913 0.000 -6.137 4.913" Properties=species:S:1:pos:R:3 pbc="T T T"
Tl 0.000 0.000 2.357
Tl 0.000 0.000 12.380
Cd 0.000 -3.242 4.640
Cd -2.808 1.621 4.640
Cd -1.606 -2.781 7.369
Cd -3.212 0.000 7.369
Cd -2.808 -1.621 10.098
Cd 1.606 -2.781 7.369
Cd -1.606 2.781 7.369
Cd 2.808 1.621 4.640
Cd 3.212 0.000 7.369
Cd 1.606 2.781 7.369
Cd 2.808 -1.621 10.098
Cd 0.000 3.242 10.098
Hg -2.657 -1.534 4.913
Hg 0.000 0.000 5.801
Hg -2.657 1.534 9.825
Hg 0.000 3.068 4.913
Hg 0.000 0.000 8.937
```

The 8 most intense peaks (2θ from 10° to 90°), in order of rising 2θ:
29.1 deg, 3.068 Å, I 45; 33.7 deg, 2.657 Å, I 100; 34.5 deg, 2.603 Å, I 98; 35.5 deg, 2.530 Å, I 32; 36.2 deg, 2.482 Å, I 45; 36.6 deg, 2.456 Å, I 33; 38.5 deg, 2.337 Å, I 76; 60.3 deg, 1.534 Å, I 35